# 1
Li2Mn3B3O9: simulated X-ray diffraction stick pattern (Cu Kα X-rays), based on a DFT-relaxed cell (PBE+U, the Materials Project).
Kinematic intensities with the Lorentz-polarization factor, no thermal factor.

```
34
Lattice="5.2785 0.0000 0.0000 -0.0349 5.8569 0.0000 -2.5653 -0.4685 12.1459" Properties=species:S:1:pos:R:3 pbc="T T T"
Li 0.4673 1.7227 0.1934
Li -0.4129 -0.2008 7.9151
Li 3.0912 5.5893 4.2307
Li 2.2110 3.6657 11.9525
Mn -0.3521 2.9687 2.7545
Mn 0.3695 4.4234 5.5039
Mn -0.2985 4.6591 10.7126
Mn 2.9768 0.7294 1.4333
Mn 2.3088 0.9650 6.6420
Mn 3.0304 2.4197 9.3913
B -0.3669 1.5489 5.3925
B 0.4248 0.0004 2.7776
B 2.2201 3.6600 1.2049
B 0.4581 1.7285 10.9409
B 2.2535 5.3881 9.3683
B 3.0452 3.8396 6.7533
O -0.2251 0.8669 1.8850
O -0.3926 5.0043 3.5750
O -0.8974 3.9804 6.9855
O 0.8615 3.5385 1.0661
O 0.3416 2.5501 4.7263
O 0.3149 0.6306 6.2174
O -0.3129 2.6575 10.2505
O -0.2674 0.7068 11.6111
O 1.7868 -0.0069 2.9013
O 0.8914 5.3953 9.2446
O 2.9457 4.6817 0.5347
O 2.9912 2.7310 1.8954
O 2.3634 4.7579 5.9285
O 2.3367 2.8383 7.4196
O 1.8167 1.8499 11.0798
O 3.5756 1.4080 5.1603
O 3.0709 0.3841 8.5709
O 2.9033 4.5216 10.2608
```

The 10 most intense peaks (15° ≤ 2θ ≤ 90°), in order of rising 2θ:
hkl  2θ (°)  d/Å  I_rel
1 0 -2  20.1  4.410  100
0 1 -2  20.7  4.298  28
0 0 3  22.0  4.049  58
1 -1 0  22.8  3.899  82
2 0 -1  34.0  2.640  71
1 1 -4  34.2  2.623  25
0 2 2  34.5  2.597  96
1 0 -5  37.5  2.397  28
0 1 -5  39.6  2.275  27
2 0 2  40.7  2.217  39

***

# 2
Li2Mn3B3O9: simulated X-ray diffraction stick pattern (Cu Kα X-rays), based on a DFT-relaxed cell (PBE+U, the Materials Project).
Kinematic intensities with the Lorentz-polarization factor, no thermal factor.

```
34
Lattice="5.2287 0.0000 0.0000 0.3166 7.9274 0.0000 2.2443 2.4371 9.0832" Properties=species:S:1:pos:R:3 pbc="T T T"
Li 0.0000 0.0000 0.0000
Li 1.1262 5.4577 0.4480
Li 2.6265 3.3453 3.0951
Li 5.2605 6.8101 6.1437
Mn 2.5162 5.8752 4.7315
Mn 3.4281 5.4287 7.7917
Mn 5.1546 9.4179 7.7639
Mn 3.7641 6.5483 1.8659
Mn 5.1695 2.4440 1.6874
Mn 5.9954 1.9791 4.8258
B 1.1688 7.6332 2.6832
B 2.5366 8.2007 6.8044
B 3.4240 3.2052 5.6527
B 2.5928 1.3683 0.7534
B 6.0011 6.6370 8.8714
B 5.1804 4.7691 3.8005
O 3.0686 8.9712 7.8210
O 1.2473 1.5293 0.3413
O 2.8992 4.4714 6.0401
O 2.3629 7.2390 3.3105
O 3.2453 7.1173 6.2819
O 2.7649 2.4198 4.7734
O 3.1573 2.2884 1.5937
O 3.8382 4.9750 3.4265
O 3.1179 5.3382 0.2857
O 4.6547 2.8608 6.1847
O 3.2817 0.2429 0.3217
O 5.4530 5.8868 7.8867
O 5.7731 5.6582 4.6553
O 6.4505 8.4167 6.3698
O 5.5591 0.9598 3.0102
O 5.0851 3.8992 0.2600
O 5.8411 3.6625 3.2684
O 5.8348 6.8511 1.7065
```

The 10 most intense peaks (15° ≤ 2θ ≤ 90°), in order of rising 2θ:
hkl  2θ (°)  d/Å  I_rel
1 1 1  20.2  4.403  84
1 -1 0  20.8  4.279  24
1 0 -1  21.9  4.057  46
0 2 1  22.7  3.909  67
1 2 3  34.0  2.640  57
0 2 -2  34.3  2.612  100
2 1 0  37.5  2.397  23
-2 1 1  39.7  2.270  23
0 2 4  40.6  2.222  32
0 0 6  61.2  1.514  21